SmDy2ErSc2: simulated X-ray powder pattern (a wavelength of 1.5418 Å), based on a structure optimized by DFT (GGA-PBE).
Intensities are scaled so that the largest is 1000.

Atomic structure:
```
data_SmDy2ErSc2
_chemical_formula_sum 'Sm2 Dy4 Er2 Sc4'
_symmetry_space_group_name_H-M 'P n n m'
_symmetry_Int_Tables_number 58
_cell_length_a 6.2872
_cell_length_b 17.3408
_cell_length_c 3.3332
_cell_angle_alpha 90.00
_cell_angle_beta 90.00
_cell_angle_gamma 90.00
loop_
_symmetry_equiv_pos_as_xyz
'x,y,z'
'-x,-y,-z'
'-x,-y,z'
'x,y,-z'
'x+1/2,-y+1/2,-z+1/2'
'-x+1/2,y+1/2,z+1/2'
'-x+1/2,y+1/2,-z+1/2'
'x+1/2,-y+1/2,z+1/2'
loop_
_atom_site_label
_atom_site_fract_x
_atom_site_fract_y
_atom_site_fract_z
_atom_site_occupancy
Sm1 0.0000 0.0000 0.0000 1
Dy1 0.2257 0.3096 0.0000 1
Er1 0.0000 0.5000 0.0000 1
Sc1 0.2251 0.1460 0.5000 1
```

Most intense lines, 2θ = 10–80°, low angle first:
2θ 20.5, intensity 276, hkl 0 4 0
2θ 24.9, intensity 375, hkl 1 4 0
2θ 30.2, intensity 1000, hkl 2 2 0
2θ 30.4, intensity 384, hkl 1 0 1
2θ 30.8, intensity 302, hkl 1 1 1
2θ 31.0, intensity 882, hkl 0 6 0
2θ 32.1, intensity 435, hkl 1 2 1
2θ 34.2, intensity 355, hkl 1 6 0
2θ 35.3, intensity 283, hkl 2 4 0
2θ 36.9, intensity 408, hkl 1 4 1
2θ 42.5, intensity 347, hkl 2 3 1
2θ 43.9, intensity 259, hkl 1 6 1


Sm2DyEr6Sc: simulated X-ray powder pattern (a wavelength of 1.5418 Å), based on a structure optimized by DFT (GGA-PBE).
Intensities are scaled so that the largest is 1000.

Atomic structure:
```
data_Sm2DyEr6Sc
_chemical_formula_sum 'Sm8 Dy4 Er24 Sc4'
_symmetry_space_group_name_H-M 'C 1 2/c 1'
_symmetry_Int_Tables_number 15
_cell_length_a 8.9473
_cell_length_b 14.7376
_cell_length_c 9.4899
_cell_angle_alpha 90.00
_cell_angle_beta 98.59
_cell_angle_gamma 90.00
loop_
_symmetry_equiv_pos_as_xyz
'x,y,z'
'-x,-y,-z'
'-x,y,-z+1/2'
'x,-y,z+1/2'
'x+1/2,y+1/2,z'
'-x+1/2,-y+1/2,-z'
'-x+1/2,y+1/2,-z+1/2'
'x+1/2,-y+1/2,z+1/2'
loop_
_atom_site_label
_atom_site_fract_x
_atom_site_fract_y
_atom_site_fract_z
_atom_site_occupancy
Sm1 0.2492 0.0509 0.0458 1
Dy1 0.0000 0.0188 0.7500 1
Er1 0.0636 0.1902 0.4426 1
Er2 0.1005 0.3948 0.6168 1
Er3 0.2092 0.2206 0.8099 1
Sc1 0.0000 0.4102 0.2500 1
```

Most intense lines, 2θ = 10–80°, low angle first:
2θ 28.3, intensity 150, hkl 2 2 -2
2θ 29.2, intensity 400, hkl 1 3 2
2θ 31.0, intensity 960, hkl 3 1 -1
2θ 32.0, intensity 430, hkl 1 5 0
2θ 32.2, intensity 1000, hkl 2 2 2
2θ 33.0, intensity 184, hkl 1 5 -1
2θ 33.9, intensity 202, hkl 3 1 -2
2θ 34.2, intensity 427, hkl 1 3 -3
2θ 38.7, intensity 185, hkl 1 1 -4
2θ 51.7, intensity 123, hkl 1 1 5
2θ 54.0, intensity 120, hkl 4 2 -4
2θ 61.8, intensity 212, hkl 4 0 4


Tb2Dy6ErSc: simulated X-ray powder pattern (a wavelength of 1.5418 Å), based on a structure optimized by DFT (GGA-PBE).
Intensities are scaled so that the largest is 1000.

Atomic structure:
```
data_Tb2Dy6ErSc
_chemical_formula_sum 'Tb8 Dy24 Er4 Sc4'
_symmetry_space_group_name_H-M 'C 1 2/c 1'
_symmetry_Int_Tables_number 15
_cell_length_a 8.9856
_cell_length_b 14.7905
_cell_length_c 9.4559
_cell_angle_alpha 90.00
_cell_angle_beta 98.03
_cell_angle_gamma 90.00
loop_
_symmetry_equiv_pos_as_xyz
'x,y,z'
'-x,-y,-z'
'-x,y,-z+1/2'
'x,-y,z+1/2'
'x+1/2,y+1/2,z'
'-x+1/2,-y+1/2,-z'
'-x+1/2,y+1/2,-z+1/2'
'x+1/2,-y+1/2,z+1/2'
loop_
_atom_site_label
_atom_site_fract_x
_atom_site_fract_y
_atom_site_fract_z
_atom_site_occupancy
Tb1 0.2505 0.0510 0.0457 1
Dy1 0.0615 0.1873 0.4444 1
Dy2 0.1016 0.3943 0.6176 1
Dy3 0.2119 0.2203 0.8099 1
Er1 0.0000 0.0207 0.7500 1
Sc1 0.0000 0.4121 0.2500 1
```

Most intense lines, 2θ = 10–80°, low angle first:
2θ 28.4, intensity 182, hkl 2 2 -2
2θ 29.1, intensity 418, hkl 1 3 2
2θ 30.9, intensity 550, hkl 3 1 -1
2θ 31.1, intensity 385, hkl 0 2 3
2θ 31.9, intensity 403, hkl 1 5 0
2θ 32.0, intensity 1000, hkl 2 2 2
2θ 32.9, intensity 210, hkl 1 5 -1
2θ 34.0, intensity 141, hkl 3 1 -2
2θ 34.3, intensity 394, hkl 1 3 -3
2θ 37.8, intensity 139, hkl 3 3 1
2θ 38.9, intensity 148, hkl 1 1 -4
2θ 54.2, intensity 183, hkl 4 2 -4